1.
The following is a theoretical powder diffraction line list of TaRuAu2. It was derived from a crystal structure in Alexandria, relaxed with GGA-PBE, using Cu Kα, 1.54184 Å.

Crystal structure
Cell: 3.8713 3.8713 8.8427 Å, 90.00 90.00 90.00°
Space group I4/mmm (No. 139)
Inequivalent atoms, fractional coordinates:
Ta (0.0000, 0.0000, 0.0000) (multiplicity 2)
Ru (0.0000, 0.0000, 0.5000) (multiplicity 2)
Au (0.0000, 0.5000, 0.2500) (multiplicity 4)

Main lines, sorted by position (10 to 90 degrees two-theta):
| two_theta | Rel. int. | hkl |
| --- | --- | --- |
| 20.1 | 3 | 0 0 2 |
| 25.1 | 4 | 1 0 1 |
| 38.7 | 100 | 1 1 2 |
| 40.8 | 22 | 0 0 4 |
| 46.9 | 29 | 2 0 0 |
| 63.9 | 23 | 2 0 4 |
| 68.6 | 9 | 2 2 0 |
| 72.9 | 16 | 1 1 6 |
| 81.6 | 24 | 3 1 2 |
| 83.0 | 11 | 2 2 4 |



2.
The following is a theoretical powder diffraction line list of Tb8Ru2Au. It was derived from a crystal structure in Alexandria, relaxed with GGA-PBE, using Cu Kα, 1.54184 Å.

Crystal structure
Cell: 8.6211 12.7542 5.6311 Å, 90.00 105.28 90.00°
Space group C2/m (No. 12)
Inequivalent atoms, fractional coordinates:
Tb (0.0000, 0.2354, 0.0000) (multiplicity 4)
Tb (0.1249, 0.5000, 0.8035) (multiplicity 4)
Tb (0.2001, 0.1307, 0.5932) (multiplicity 8)
Ru (0.0000, 0.3092, 0.5000) (multiplicity 4)
Au (0.0000, 0.0000, 0.0000) (multiplicity 2)

Main lines, sorted by position (10 to 90 degrees two-theta):
| two_theta | Rel. int. | hkl |
| --- | --- | --- |
| 27.0 | 16 | 1 3 -1 |
| 30.3 | 60 | 2 0 1 |
| 32.6 | 100 | 0 4 1 |
| 32.9 | 63 | 3 1 -1 |
| 35.5 | 41 | 2 4 0 |
| 38.8 | 26 | 3 3 0 |
| 39.3 | 27 | 1 5 -1 |
| 53.3 | 21 | 2 4 2 |
| 56.1 | 16 | 4 4 -2 |
| 66.7 | 20 | 2 8 1 |



3.
The following is a theoretical powder diffraction line list of Tc2RuAu. It was derived from a crystal structure in Alexandria, relaxed with GGA-PBE, using Cu Kα, 1.54184 Å.

Crystal structure
Cell: 9.2526 2.8004 4.7617 Å, 90.00 100.36 90.00°
Space group C2/m (No. 12)
Inequivalent atoms, fractional coordinates:
Tc (0.2433, 0.0000, 0.2262) (multiplicity 4)
Ru (0.0000, 0.5000, 0.0000) (multiplicity 2)
Au (0.0000, 0.0000, 0.5000) (multiplicity 2)

Main lines, sorted by position (10 to 90 degrees two-theta):
| two_theta | Rel. int. | hkl |
| --- | --- | --- |
| 19.5 | 7 | 2 0 0 |
| 39.6 | 100 | 4 0 0 |
| 40.0 | 32 | 2 0 -2 |
| 46.0 | 44 | 3 1 -1 |
| 46.7 | 20 | 2 0 2 |
| 67.3 | 13 | 5 1 1 |
| 67.9 | 13 | 1 1 -3 |
| 80.6 | 9 | 4 2 0 |
| 80.8 | 17 | 7 1 -1 |
| 81.2 | 8 | 5 1 -3 |



4.
The following is a theoretical powder diffraction line list of Th4Ru2Au. It was derived from a crystal structure in Alexandria, relaxed with GGA-PBE, using Cu Kα, 1.54184 Å.

Crystal structure
Cell: 12.5826 9.1427 8.6598 Å, 90.00 133.41 90.00°
Space group C2 (No. 5)
Inequivalent atoms, fractional coordinates:
Th (0.0640, 0.0000, 0.3583) (multiplicity 4)
Th (0.0649, 0.6179, 0.2706) (multiplicity 4)
Th (0.1913, 0.2447, 0.1470) (multiplicity 4)
Th (0.1909, 0.3735, 0.7354) (multiplicity 4)
Ru (0.0000, 0.7000, 0.5000) (multiplicity 2)
Ru (0.0000, 0.9179, 0.0000) (multiplicity 2)
Ru (0.1089, 0.3090, 0.3591) (multiplicity 4)
Au (0.2494, 0.5591, 0.1245) (multiplicity 4)

Main lines, sorted by position (10 to 90 degrees two-theta):
| two_theta | Rel. int. | hkl |
| --- | --- | --- |
| 28.4 | 55 | 0 0 2 |
| 30.9 | 65 | 3 1 0 |
| 31.1 | 100 | 2 0 1 |
| 32.5 | 75 | 4 0 -3 |
| 36.9 | 59 | 2 2 1 |
| 37.4 | 57 | 5 1 -2 |
| 47.7 | 19 | 1 3 -3 |
| 51.1 | 35 | 5 3 -1 |
| 52.0 | 18 | 1 1 3 |
| 52.8 | 27 | 3 3 -4 |



5.
The following is a theoretical powder diffraction line list of Th3RuAu2. It was derived from a crystal structure in Alexandria, relaxed with GGA-PBE, using Cu Kα, 1.54184 Å.

Crystal structure
Cell: 6.0376 6.0490 17.8226 Å, 90.00 90.00 90.00°
Space group Fmmm (No. 69)
Inequivalent atoms, fractional coordinates:
Th (0.0000, 0.0000, 0.0000) (multiplicity 4)
Th (0.0000, 0.0000, 0.3481) (multiplicity 8)
Ru (0.0000, 0.0000, 0.5000) (multiplicity 4)
Au (0.0000, 0.0000, 0.1752) (multiplicity 8)

Main lines, sorted by position (10 to 90 degrees two-theta):
| two_theta | Rel. int. | hkl |
| --- | --- | --- |
| 29.6 | 100 | 2 0 0 |
| 30.1 | 41 | 0 0 6 |
| 32.7 | 16 | 1 1 5 |
| 42.3 | 39 | 2 2 0 |
| 42.7 | 64 | 2 0 6 |
| 52.8 | 35 | 2 2 6 |
| 61.2 | 9 | 1 1 11 |
| 69.6 | 18 | 4 2 0 |
| 77.2 | 10 | 3 1 11 |
| 77.6 | 23 | 4 2 6 |



6.
The following is a theoretical powder diffraction line list of Tl2RuAu. It was derived from a crystal structure in Alexandria, relaxed with GGA-PBE, using Cu Kα, 1.54184 Å.

Crystal structure
Cell: 3.5617 3.5617 6.3332 Å, 90.00 90.00 90.00°
Space group P4/mmm (No. 123)
Inequivalent atoms, fractional coordinates:
Tl (0.0000, 0.0000, 0.2386) (multiplicity 2)
Ru (0.5000, 0.5000, 0.0000) (multiplicity 1)
Au (0.5000, 0.5000, 0.5000) (multiplicity 1)

Main lines, sorted by position (10 to 90 degrees two-theta):
| two_theta | Rel. int. | hkl |
| --- | --- | --- |
| 35.6 | 60 | 1 1 0 |
| 38.0 | 100 | 1 0 2 |
| 51.3 | 22 | 2 0 0 |
| 58.3 | 7 | 0 0 4 |
| 65.6 | 41 | 2 1 2 |
| 70.2 | 16 | 1 1 4 |
| 75.5 | 7 | 2 2 0 |
| 81.3 | 11 | 2 0 4 |
| 86.4 | 10 | 3 1 0 |
| 87.8 | 10 | 3 0 2 |